Entry 1:
Theoretical powder XRD pattern
Compound: KRbPdBr4
Radiation: Cu Kα (weighted mean of Kα1 and Kα2)
Structure: a cell relaxed with PBE

Cell and atoms:
```
7
Lattice="4.4573 0.0000 0.0000 0.0000 7.4847 0.0000 0.0000 0.0000 7.6499" Properties=species:S:1:pos:R:3 pbc="T T T"
K 0.0000 0.0000 0.0000
Rb 0.0000 3.7424 3.8249
Pd 2.2286 3.7424 0.0000
Br 2.2286 1.9786 1.7411
Br 2.2286 1.9786 5.9088
Br 2.2286 5.5061 1.7411
Br 2.2286 5.5061 5.9088
```

Top 8 peaks for 2θ = 10–90°, most intense first:
2θ (°)  I_rel
33.5  100.0
26.0  75.9
11.8  67.2
19.9  60.4
53.5  51.7
31.2  47.7
30.8  47.3
39.3  36.6

=====

Entry 2:
Theoretical powder XRD pattern
Compound: Co8Re7
Radiation: Cu Kα (weighted mean of Kα1 and Kα2)
Structure: a cell relaxed with PBE

Cell and atoms:
```
30
Lattice="9.0484 0.0000 0.0000 0.0000 9.0484 0.0000 0.0000 0.0000 4.6560" Properties=species:S:1:pos:R:3 pbc="T T T"
Co 0.3401 3.3546 0.0000
Co 1.1696 4.8643 2.3280
Co 1.6226 7.4258 1.1563
Co 1.6226 7.4258 3.4997
Co 2.9016 2.9016 1.1717
Co 2.9016 2.9016 3.4843
Co 3.3546 0.3401 0.0000
Co 4.1841 7.8788 2.3280
Co 4.8643 1.1696 2.3280
Co 5.6938 8.7083 0.0000
Co 6.1468 6.1468 1.1717
Co 6.1468 6.1468 3.4843
Co 7.4258 1.6226 1.1563
Co 7.4258 1.6226 3.4997
Co 7.8788 4.1841 2.3280
Co 8.7083 5.6938 0.0000
Re 0.0000 0.0000 2.3280
Re 0.6161 2.4871 2.3280
Re 0.9368 0.9368 0.0000
Re 2.0371 5.1403 0.0000
Re 2.4871 0.6161 2.3280
Re 3.5874 5.4610 2.3280
Re 3.9081 7.0113 0.0000
Re 4.5242 4.5242 0.0000
Re 5.1403 2.0371 0.0000
Re 5.4610 3.5874 2.3280
Re 6.5613 8.4323 2.3280
Re 7.0113 3.9081 0.0000
Re 8.1116 8.1116 0.0000
Re 8.4323 6.5613 2.3280
```

Top 8 peaks for 2θ = 10–90°, most intense first:
2θ (°)  I_rel
45.7  100.0
46.9  65.9
41.1  63.6
44.9  52.8
38.7  42.5
22.0  32.9
34.0  22.9
74.9  22.8

=====

Entry 3:
Theoretical powder XRD pattern
Compound: Sm3Al2Ni6H9
Radiation: Cu Kα (weighted mean of Kα1 and Kα2)
Structure: a cell relaxed with PBE

Cell and atoms:
```
40
Lattice="-4.6347 4.6347 4.6347 4.6347 -4.6347 4.6347 4.6347 4.6347 -4.6347" Properties=species:S:1:pos:R:3 pbc="T T T"
Sm 2.5188 0.0000 0.0000
Sm 6.7505 0.0000 0.0000
Sm 0.0000 2.5188 0.0000
Sm 0.0000 0.0000 2.5188
Sm 0.0000 6.7505 0.0000
Sm 0.0000 0.0000 6.7505
Al 2.3173 2.3173 -2.3173
Al 2.3173 -2.3173 2.3173
Al -2.3173 2.3173 2.3173
Al 2.3173 2.3173 2.3173
Ni 4.6347 1.5164 -1.5164
Ni 4.6347 -1.5164 1.5164
Ni 4.6347 1.5164 1.5164
Ni 1.5164 4.6347 -1.5164
Ni 3.1183 3.1183 0.0000
Ni 1.5164 -1.5164 4.6347
Ni 3.1183 0.0000 3.1183
Ni -1.5164 4.6347 1.5164
Ni 1.5164 4.6347 1.5164
Ni -1.5164 1.5164 4.6347
Ni 1.5164 1.5164 4.6347
Ni 0.0000 3.1183 3.1183
H 0.0000 0.0000 0.0000
H 1.2586 1.2586 -1.2586
H 3.3761 3.3761 -3.3761
H 1.2586 -1.2586 1.2586
H 4.6347 0.0000 0.0000
H 3.3761 -3.3761 3.3761
H 4.6347 2.3173 0.0000
H 4.6347 0.0000 2.3173
H -1.2586 1.2586 1.2586
H 1.2586 1.2586 1.2586
H 0.0000 4.6347 0.0000
H 2.3173 4.6347 0.0000
H 0.0000 0.0000 4.6347
H 2.3173 0.0000 4.6347
H -3.3761 3.3761 3.3761
H 3.3761 3.3761 3.3761
H 0.0000 4.6347 2.3173
H 0.0000 2.3173 4.6347
```

Top 8 peaks for 2θ = 10–90°, most intense first:
2θ (°)  I_rel
41.3  100.0
36.3  45.0
33.5  37.7
30.5  28.7
67.0  26.5
38.9  25.2
61.7  23.4
27.2  18.5

=====

Entry 4:
Theoretical powder XRD pattern
Compound: InAg2P2
Radiation: Cu Kα (weighted mean of Kα1 and Kα2)
Structure: a cell relaxed with PBE

Cell and atoms:
```
10
Lattice="1.6172 -5.8451 0.0000 1.6172 5.8451 0.0000 0.0000 0.0000 11.5502" Properties=species:S:1:pos:R:3 pbc="T T T"
In 1.6172 5.5789 8.6626
In 1.6172 -5.5789 2.8875
Ag 1.6172 2.6274 8.6626
Ag 1.6172 0.0000 0.0000
Ag 1.6172 0.0000 5.7751
Ag 1.6172 -2.6274 2.8875
P 1.6172 2.3759 6.2661
P 1.6172 2.3759 11.0592
P 1.6172 -2.3759 0.4910
P 1.6172 -2.3759 5.2841
```

Top 8 peaks for 2θ = 10–90°, most intense first:
2θ (°)  I_rel
32.6  100.0
31.0  78.1
30.6  61.8
39.4  61.4
29.7  52.1
44.1  40.7
60.8  22.6
31.6  22.6

=====

Entry 5:
Theoretical powder XRD pattern
Compound: ScCd3Ag2Au2
Radiation: Cu Kα (weighted mean of Kα1 and Kα2)
Structure: a cell relaxed with PBE

Cell and atoms:
```
8
Lattice="4.8440 0.0000 0.0000 0.0000 4.8154 0.0000 -0.0002 0.0000 6.6731" Properties=species:S:1:pos:R:3 pbc="T T T"
Sc 0.0000 0.0000 0.0000
Cd 2.5495 2.4077 6.6730
Cd 2.5521 2.4077 3.3364
Cd 4.8220 0.0000 3.3376
Ag 0.1382 2.4077 4.9784
Ag 2.3854 0.0000 1.6961
Au 0.1277 2.4077 1.5906
Au 2.3902 0.0000 5.0842
```

Top 8 peaks for 2θ = 10–90°, most intense first:
2θ (°)  I_rel
37.7  100.0
37.3  26.2
37.1  25.5
67.6  17.3
53.7  17.2
67.3  16.1
22.7  11.5
80.5  10.1